Diffraction record for Ta2O. The X-ray diffraction stick pattern is calculated, not measured: it uses a cell relaxed with PBE and CuKα.
Intensities are scaled so that the largest is 100.

Peak list (8 most intense, 10° ≤ 2θ ≤ 90°, in order of rising 2θ)
2theta, Rel. int.
29.05, 11
33.67, 100
45.06, 8
48.36, 13
51.50, 11
60.22, 27
62.96, 8
78.29, 8

```
12
Lattice="-3.764 3.764 3.764 3.764 -3.764 3.764 3.764 3.764 -3.764" Properties=species:S:1:pos:R:3 pbc="T T T"
Ta 0.000 0.000 0.000
Ta 2.147 2.147 -2.147
Ta 3.764 0.000 0.000
Ta 2.147 -2.147 2.147
Ta 1.617 1.617 1.617
Ta 0.000 3.764 0.000
Ta 0.000 0.000 3.764
Ta -2.147 2.147 2.147
O 1.084 1.084 -1.084
O 1.084 -1.084 1.084
O -1.084 1.084 1.084
O 2.680 2.680 2.680
```

Diffraction record for Ta2O5. The X-ray diffraction stick pattern is calculated, not measured: it uses a cell relaxed with PBE and CuKα.
Intensities are scaled so that the largest is 100.

Peak list (8 most intense, 10° ≤ 2θ ≤ 90°, in order of rising 2θ)
2theta, Rel. int.
18.42, 74
19.13, 43
23.77, 100
30.24, 54
32.61, 51
33.87, 27
47.73, 36
62.11, 28

```
14
Lattice="5.294 0.000 0.000 0.000 5.294 0.000 0.000 0.000 9.634" Properties=species:S:1:pos:R:3 pbc="T T T"
Ta 0.000 0.000 1.900
Ta 0.000 0.000 7.734
Ta 2.647 2.647 2.917
Ta 2.647 2.647 6.717
O 0.000 0.000 0.000
O 1.323 1.323 2.409
O 1.323 1.323 7.226
O 1.323 3.970 2.409
O 1.323 3.970 7.226
O 2.647 2.647 4.817
O 3.970 1.323 2.409
O 3.970 1.323 7.226
O 3.970 3.970 2.409
O 3.970 3.970 7.226
```

Diffraction record for Ta11O2. The X-ray diffraction stick pattern is calculated, not measured: it uses a cell relaxed with PBE and CuKα.
Intensities are scaled so that the largest is 100.

Peak list (8 most intense, 10° ≤ 2θ ≤ 90°, in order of rising 2θ)
2theta, Rel. int.
37.22, 96
37.42, 90
37.71, 92
38.21, 90
38.63, 100
39.20, 93
55.26, 31
57.15, 32

```
26
Lattice="7.431 0.000 0.000 -1.432 7.530 0.000 -3.113 -3.206 8.039" Properties=species:S:1:pos:R:3 pbc="T T T"
Ta 0.000 0.000 0.000
Ta -1.528 -1.471 3.907
Ta -0.921 1.051 2.592
Ta -2.379 -0.856 6.555
Ta -1.544 1.681 5.369
Ta 0.076 3.390 1.202
Ta -0.866 4.140 3.935
Ta -0.015 6.330 2.384
Ta -0.159 -2.611 6.697
Ta 0.667 -0.237 5.245
Ta 2.203 1.453 1.402
Ta -0.223 0.318 7.780
Ta 1.328 2.482 4.068
Ta 2.224 4.720 2.608
Ta 0.645 3.015 6.739
Ta 1.434 5.214 5.219
Ta 4.428 -0.275 1.307
Ta 2.173 -1.172 7.983
Ta 3.797 0.476 3.950
Ta 3.069 1.477 6.817
Ta 4.974 4.870 1.375
Ta 3.715 3.603 5.141
O -0.577 5.491 0.581
O 1.660 0.561 3.420
O 2.989 5.309 0.646
O 2.838 -0.325 5.833
```

Diffraction record for Ta2O5. The X-ray diffraction stick pattern is calculated, not measured: it uses a cell relaxed with PBE and CuKα.
Intensities are scaled so that the largest is 100.

Peak list (8 most intense, 10° ≤ 2θ ≤ 90°, in order of rising 2θ)
2theta, Rel. int.
19.95, 100
20.55, 10
26.42, 25
27.51, 18
34.53, 16
35.53, 16
36.16, 18
43.01, 10

```
14
Lattice="8.678 0.000 0.000 0.000 6.747 0.000 -3.945 0.000 4.435" Properties=species:S:1:pos:R:3 pbc="T T T"
Ta 1.434 0.000 0.530
Ta -1.040 3.373 3.905
Ta 5.773 3.373 0.530
Ta 3.299 0.000 3.905
O -1.972 3.373 2.218
O -0.298 0.000 1.228
O 2.169 1.687 0.000
O 2.169 5.060 0.000
O 0.692 3.373 3.207
O 2.366 0.000 2.218
O 4.041 3.373 1.228
O 6.508 1.687 0.000
O 6.508 5.060 0.000
O 5.030 0.000 3.207
```